Entry 1:
Computed X-ray diffraction stick pattern of La6Pm2Tm3 for Cu Kα X-rays, from a structure optimized by DFT (GGA-PBE).

Principal peaks in the range 15° ≤ 2θ ≤ 90°, in order of rising 2θ:
2θ = 29.90°, intensity 1000
2θ = 30.09°, intensity 328
2θ = 34.67°, intensity 450
2θ = 34.81°, intensity 223
2θ = 49.75°, intensity 162
2θ = 49.91°, intensity 161
2θ = 59.11°, intensity 96
2θ = 59.21°, intensity 192
2θ = 59.33°, intensity 96
2θ = 59.44°, intensity 143

Atomic structure:
a = 6.3094 Å, b = 8.1611 Å, c = 8.1905 Å
α = 107.58°, β = 97.23°, γ = 104.62°
Sites, in units of the cell vectors:
La 0.0458 0.1840 0.4123
La 0.2261 0.9067 0.0491
La 0.3153 0.2732 0.8618
La 0.6847 0.7268 0.1382
La 0.7739 0.0933 0.9509
La 0.9542 0.8160 0.5877
Pm 0.4102 0.6373 0.6801
Pm 0.5898 0.3627 0.3199
Tm 0.1374 0.5458 0.2280
Tm 0.5000 0.0000 0.5000
Tm 0.8626 0.4542 0.7720

Entry 2:
Computed X-ray diffraction stick pattern of TbEr2Cu2 for Cu Kα X-rays, from a structure optimized by DFT (GGA-PBE).

Principal peaks in the range 15° ≤ 2θ ≤ 90°, in order of rising 2θ:
2θ = 25.82°, intensity 95
2θ = 27.26°, intensity 226
2θ = 34.81°, intensity 176
2θ = 35.57°, intensity 305
2θ = 35.85°, intensity 1000
2θ = 50.62°, intensity 120
2θ = 52.56°, intensity 95
2θ = 60.08°, intensity 83
2θ = 64.07°, intensity 181
2θ = 65.08°, intensity 99

Atomic structure:
a = 3.4824 Å, b = 5.0473 Å, c = 13.0023 Å
α = 90.00°, β = 97.68°, γ = 90.00°
Sites, in units of the cell vectors:
Tb 0.1423 0.2500 0.2827
Tb 0.8577 0.7500 0.7173
Er 0.0470 0.7500 0.0935
Er 0.2305 0.7500 0.4602
Er 0.7695 0.2500 0.5398
Er 0.9530 0.2500 0.9065
Cu 0.3584 0.2500 0.7192
Cu 0.4548 0.7500 0.9112
Cu 0.5452 0.2500 0.0888
Cu 0.6416 0.7500 0.2808

Entry 3:
Computed X-ray diffraction stick pattern of La3Zn2Au9 for Cu Kα X-rays, from a structure optimized by DFT (GGA-PBE).

Principal peaks in the range 15° ≤ 2θ ≤ 90°, in order of rising 2θ:
2θ = 31.97°, intensity 509
2θ = 32.99°, intensity 673
2θ = 33.25°, intensity 1000
2θ = 34.50°, intensity 306
2θ = 35.68°, intensity 311
2θ = 39.98°, intensity 672
2θ = 41.23°, intensity 405
2θ = 42.88°, intensity 486
2θ = 52.08°, intensity 264
2θ = 64.28°, intensity 342

Atomic structure:
a = 8.7147 Å, b = 8.7147 Å, c = 8.7147 Å
α = 150.00°, β = 108.37°, γ = 79.56°
Sites, in units of the cell vectors:
La 0.0000 0.0000 0.0000
La 0.2994 0.2994 0.0000
La 0.7006 0.7006 0.0000
Zn 0.3033 0.5000 0.8033
Zn 0.6967 0.5000 0.1967
Au 0.0215 0.6557 0.3658
Au 0.1598 0.8702 0.2896
Au 0.2899 0.6557 0.6342
Au 0.4194 0.1298 0.2896
Au 0.5000 0.0000 0.5000
Au 0.5806 0.8702 0.7104
Au 0.7101 0.3443 0.3658
Au 0.8402 0.1298 0.7104
Au 0.9785 0.3443 0.6342

Entry 4:
Computed X-ray diffraction stick pattern of Ni8GeH2 for Cu Kα X-rays, from a structure optimized by DFT (GGA-PBE).

Principal peaks in the range 15° ≤ 2θ ≤ 90°, in order of rising 2θ:
2θ = 32.92°, intensity 226
2θ = 38.02°, intensity 577
2θ = 38.22°, intensity 252
2θ = 43.37°, intensity 918
2θ = 45.73°, intensity 1000
2θ = 46.23°, intensity 624
2θ = 48.50°, intensity 533
2θ = 49.08°, intensity 694
2θ = 54.07°, intensity 245
2θ = 78.76°, intensity 199

Atomic structure:
a = 5.6525 Å, b = 5.6525 Å, c = 3.8349 Å
α = 98.45°, β = 98.45°, γ = 112.59°
Sites, in units of the cell vectors:
Ni 0.1116 0.1116 0.8065
Ni 0.1671 0.4272 0.4123
Ni 0.2478 0.7522 0.0000
Ni 0.4272 0.1671 0.4123
Ni 0.5728 0.8329 0.5877
Ni 0.7522 0.2478 0.0000
Ni 0.8329 0.5728 0.5877
Ni 0.8884 0.8884 0.1935
Ge 0.5000 0.5000 0.0000
H 0.1338 0.8662 0.5000
H 0.8662 0.1338 0.5000

Entry 5:
Computed X-ray diffraction stick pattern of La2Dy8Sc3 for Cu Kα X-rays, from a structure optimized by DFT (GGA-PBE).

Principal peaks in the range 15° ≤ 2θ ≤ 90°, in order of rising 2θ:
2θ = 31.20°, intensity 1000
2θ = 36.10°, intensity 173
2θ = 36.22°, intensity 329
2θ = 52.01°, intensity 118
2θ = 52.14°, intensity 224
2θ = 61.91°, intensity 138
2θ = 62.04°, intensity 193
2θ = 65.09°, intensity 57
2θ = 85.26°, intensity 76
2θ = 88.08°, intensity 57

Atomic structure:
a = 6.0747 Å, b = 6.0974 Å, c = 11.0876 Å
α = 90.10°, β = 100.47°, γ = 99.65°
Sites, in units of the cell vectors:
La 0.1152 0.2684 0.4619
La 0.8848 0.7316 0.5381
Dy 0.0421 0.4154 0.1458
Dy 0.1922 0.1238 0.7829
Dy 0.3459 0.8084 0.3745
Dy 0.4238 0.6615 0.7039
Dy 0.5762 0.3385 0.2961
Dy 0.6541 0.1916 0.6255
Dy 0.8078 0.8762 0.2171
Dy 0.9579 0.5846 0.8542
Sc 0.2746 0.9603 0.0723
Sc 0.5000 0.5000 0.0000
Sc 0.7254 0.0397 0.9277

Entry 6:
Computed X-ray diffraction stick pattern of RbZnInP2 for Cu Kα X-rays, from a structure optimized by DFT (GGA-PBE).

Principal peaks in the range 15° ≤ 2θ ≤ 90°, in order of rising 2θ:
2θ = 23.61°, intensity 330
2θ = 24.27°, intensity 587
2θ = 28.27°, intensity 383
2θ = 28.93°, intensity 252
2θ = 29.11°, intensity 1000
2θ = 34.95°, intensity 675
2θ = 35.64°, intensity 296
2θ = 42.97°, intensity 356
2θ = 46.38°, intensity 338
2θ = 53.60°, intensity 303

Atomic structure:
a = 7.1146 Å, b = 7.1146 Å, c = 9.7570 Å
α = 98.21°, β = 98.21°, γ = 34.42°
Sites, in units of the cell vectors:
Rb 0.1616 0.1616 0.1615
Rb 0.8384 0.8384 0.8385
Zn 0.1780 0.1780 0.5704
Zn 0.8220 0.8220 0.4296
In 0.4560 0.4560 0.3152
In 0.5440 0.5440 0.6848
P 0.1253 0.1253 0.8033
P 0.3638 0.3638 0.5574
P 0.6362 0.6362 0.4426
P 0.8747 0.8747 0.1967

Entry 7:
Computed X-ray diffraction stick pattern of Fe3PtI9 for Cu Kα X-rays, from a structure optimized by DFT (GGA-PBE).

Principal peaks in the range 15° ≤ 2θ ≤ 90°, in order of rising 2θ:
2θ = 15.24°, intensity 1000
2θ = 19.59°, intensity 249
2θ = 24.83°, intensity 670
2θ = 26.39°, intensity 220
2θ = 26.58°, intensity 376
2θ = 27.04°, intensity 392
2θ = 29.49°, intensity 249
2θ = 32.27°, intensity 279
2θ = 33.87°, intensity 230
2θ = 46.41°, intensity 367

Atomic structure:
a = 10.8260 Å, b = 10.8260 Å, c = 14.0288 Å
α = 122.59°, β = 122.59°, γ = 54.34°
Sites, in units of the cell vectors:
Fe 0.0416 0.9584 0.5000
Fe 0.2766 0.5122 0.5942
Fe 0.5122 0.2766 0.0942
Fe 0.5562 0.7177 0.4498
Fe 0.7177 0.5562 0.9498
Fe 0.9584 0.0416 0.0000
Pt 0.0443 0.4855 0.7731
Pt 0.4855 0.0443 0.2731
I 0.0176 0.7507 0.5231
I 0.0536 0.1834 0.7023
I 0.0646 0.7698 0.8446
I 0.1638 0.3573 0.5925
I 0.1834 0.0536 0.2023
I 0.2493 0.7927 0.3859
I 0.3573 0.1638 0.0925
I 0.3655 0.3797 0.9187
I 0.3797 0.3655 0.4187
I 0.4568 0.6615 0.7788
I 0.5706 0.9602 0.4650
I 0.6291 0.7143 0.1361
I 0.6615 0.4568 0.2788
I 0.7143 0.6291 0.6361
I 0.7507 0.0176 0.0231
I 0.7698 0.0646 0.3446
I 0.7927 0.2493 0.8859
I 0.9602 0.5706 0.9650

> What is the formula in the fifth record?

La2Dy8Sc3

Copy entry 4 word for word.
Computed X-ray diffraction stick pattern of Ni8GeH2 for Cu Kα X-rays, from a structure optimized by DFT (GGA-PBE).

Principal peaks in the range 15° ≤ 2θ ≤ 90°, in order of rising 2θ:
2θ = 32.92°, intensity 226
2θ = 38.02°, intensity 577
2θ = 38.22°, intensity 252
2θ = 43.37°, intensity 918
2θ = 45.73°, intensity 1000
2θ = 46.23°, intensity 624
2θ = 48.50°, intensity 533
2θ = 49.08°, intensity 694
2θ = 54.07°, intensity 245
2θ = 78.76°, intensity 199

Atomic structure:
a = 5.6525 Å, b = 5.6525 Å, c = 3.8349 Å
α = 98.45°, β = 98.45°, γ = 112.59°
Sites, in units of the cell vectors:
Ni 0.1116 0.1116 0.8065
Ni 0.1671 0.4272 0.4123
Ni 0.2478 0.7522 0.0000
Ni 0.4272 0.1671 0.4123
Ni 0.5728 0.8329 0.5877
Ni 0.7522 0.2478 0.0000
Ni 0.8329 0.5728 0.5877
Ni 0.8884 0.8884 0.1935
Ge 0.5000 0.5000 0.0000
H 0.1338 0.8662 0.5000
H 0.8662 0.1338 0.5000